Simulated XRD peak list
Compound: BaNpGaO5
Radiation: λ = 1.5418 Å (Cu Kα)
Structure: a PBE-relaxed structure
Lines closer than 0.1° are merged.

Crystal structure
```
data_BaNpGaO5
_cell_length_a 7.3677
_cell_length_b 9.9030
_cell_length_c 7.9938
_cell_angle_alpha 90.00
_cell_angle_beta 113.85
_cell_angle_gamma 90.00
_space_group_name_H-M_alt 'C 1 2/c 1'
_space_group_IT_number 15
loop_
_space_group_symop_operation_xyz
'x,y,z'
'-x,-y,-z'
'-x,y,-z+1/2'
'x,-y,z+1/2'
'x+1/2,y+1/2,z'
'-x+1/2,-y+1/2,-z'
'-x+1/2,y+1/2,-z+1/2'
'x+1/2,-y+1/2,z+1/2'
loop_
_atom_site_label
_atom_site_fract_x
_atom_site_fract_y
_atom_site_fract_z
Ba1 0.0000 0.1671 0.2500
Np1 0.0000 0.5000 0.0000
Ga1 0.0000 0.1874 0.7500
O1 0.0000 0.4352 0.2500
O2 0.0911 0.2949 0.6056
O3 0.1966 0.0657 0.9006
```

Principal peaks in the range 2θ from 10° to 90°, low angle first:
15.91°, I 50, hkl 1 1 0
24.25°, I 100, hkl 1 1 -2
26.45°, I 67, hkl 2 0 0
30.15°, I 84, hkl 1 3 0
30.39°, I 56, hkl 0 2 2
33.29°, I 32, hkl 2 2 -2
33.52°, I 29, hkl 1 1 2
38.70°, I 25, hkl 3 1 -2
49.06°, I 26, hkl 3 3 0
57.73°, I 21, hkl 3 3 -4

Simulated XRD peak list
Compound: LiFeBr2
Radiation: λ = 1.5418 Å (Cu Kα)
Structure: a PBE-relaxed structure
Lines closer than 0.1° are merged.

Crystal structure
```
data_LiFeBr2
_cell_length_a 5.7563
_cell_length_b 5.7563
_cell_length_c 11.9435
_cell_angle_alpha 90.00
_cell_angle_beta 90.00
_cell_angle_gamma 90.00
_space_group_name_H-M_alt 'I -4 2 d'
_space_group_IT_number 122
_space_group_name_Hall 'I -4 2bw'
loop_
_atom_site_label
_atom_site_fract_x
_atom_site_fract_y
_atom_site_fract_z
Li1 0.0000 0.0000 0.0000
Fe1 0.0000 0.0000 0.5000
Br1 0.2409 0.2500 0.6250
```

Principal peaks in the range 2θ from 10° to 90°, low angle first:
17.10°, I 17, hkl 1 0 1
26.50°, I 100, hkl 1 1 2
31.07°, I 10, hkl 2 0 0
43.68°, I 42, hkl 2 0 4
44.52°, I 20, hkl 2 2 0
51.08°, I 16, hkl 1 1 6
52.56°, I 28, hkl 3 1 2
70.04°, I 12, hkl 3 1 6
79.65°, I 7, hkl 2 2 8
81.42°, I 13, hkl 4 2 4

Simulated XRD peak list
Compound: LaNd7Tl4
Radiation: λ = 1.5418 Å (Cu Kα)
Structure: a PBE-relaxed structure
Lines closer than 0.1° are merged.

Crystal structure
```
data_LaNd7Tl4
_cell_length_a 14.9307
_cell_length_b 5.9211
_cell_length_c 10.7034
_cell_angle_alpha 90.00
_cell_angle_beta 123.08
_cell_angle_gamma 90.00
_space_group_name_H-M_alt 'C 1 2/m 1'
_space_group_IT_number 12
loop_
_space_group_symop_operation_xyz
'x,y,z'
'-x,-y,-z'
'-x,y,-z'
'x,-y,z'
'x+1/2,y+1/2,z'
'-x+1/2,-y+1/2,-z'
'-x+1/2,y+1/2,-z'
'x+1/2,-y+1/2,z'
loop_
_atom_site_label
_atom_site_fract_x
_atom_site_fract_y
_atom_site_fract_z
La1 0.0000 0.0000 0.0000
Nd1 0.0000 0.5000 0.0000
Nd2 0.0612 0.0000 0.3945
Nd3 0.2042 0.0000 0.8811
Nd4 0.2225 0.5000 0.6590
Tl1 0.0581 0.5000 0.7492
Tl2 0.1868 0.5000 0.3325
```

Principal peaks in the range 2θ from 10° to 90°, low angle first:
27.84°, I 49, hkl 4 0 -3
28.81°, I 38, hkl 1 1 2
29.68°, I 22, hkl 3 1 -3
29.89°, I 19, hkl 0 0 3
30.19°, I 100, hkl 0 2 0
31.98°, I 46, hkl 3 1 1
34.99°, I 61, hkl 5 1 -1
35.24°, I 31, hkl 5 1 -3
41.53°, I 34, hkl 4 2 -3
56.77°, I 17, hkl 5 3 -1

Simulated XRD peak list
Compound: ZnCuPt3
Radiation: λ = 1.5418 Å (Cu Kα)
Structure: a PBE-relaxed structure
Lines closer than 0.1° are merged.

Crystal structure
```
data_ZnCuPt3
_cell_length_a 4.6432
_cell_length_b 4.6445
_cell_length_c 7.4578
_cell_angle_alpha 85.07
_cell_angle_beta 71.87
_cell_angle_gamma 73.93
_space_group_name_H-M_alt 'P -1'
_space_group_IT_number 2
loop_
_space_group_symop_operation_xyz
'x,y,z'
'-x,-y,-z'
loop_
_atom_site_label
_atom_site_fract_x
_atom_site_fract_y
_atom_site_fract_z
Zn1 0.1530 0.2491 0.1958
Cu1 0.3515 0.2498 0.7982
Pt1 0.0572 0.7498 0.3849
Pt2 0.2502 0.7493 0.9981
Pt3 0.4448 0.7502 0.6098
```

Principal peaks in the range 2θ from 10° to 90°, low angle first:
24.80°, I 30, hkl 1 1 1
32.69°, I 15, hkl 1 -1 1
40.02°, I 100, hkl 1 1 3
40.43°, I 99, hkl 2 0 1
45.60°, I 69, hkl 1 -1 3
49.11°, I 28, hkl 2 2 1
69.25°, I 40, hkl 3 1 -1
80.23°, I 25, hkl 2 0 -4
81.02°, I 26, hkl 3 -1 4
85.95°, I 12, hkl 4 2 2

Simulated XRD peak list
Compound: AuI
Radiation: λ = 1.5418 Å (Cu Kα)
Structure: a PBE-relaxed structure
Lines closer than 0.1° are merged.

Crystal structure
```
data_AuI
_cell_length_a 4.5533
_cell_length_b 4.5533
_cell_length_c 14.3334
_cell_angle_alpha 90.00
_cell_angle_beta 90.00
_cell_angle_gamma 90.00
_space_group_name_H-M_alt 'P 42/n c m'
_space_group_IT_number 138
loop_
_space_group_symop_operation_xyz
'x,y,z'
'-x,-y,-z'
'-y+1/2,x,z+1/2'
'y+1/2,-x,-z+1/2'
'-x+1/2,-y+1/2,z'
'x+1/2,y+1/2,-z'
'y,-x+1/2,z+1/2'
'-y,x+1/2,-z+1/2'
'x+1/2,-y,-z+1/2'
'-x+1/2,y,z+1/2'
'-y,-x,-z'
'y,x,z'
'-x,y+1/2,-z+1/2'
'x,-y+1/2,z+1/2'
'y+1/2,x+1/2,-z'
'-y+1/2,-x+1/2,z'
loop_
_atom_site_label
_atom_site_fract_x
_atom_site_fract_y
_atom_site_fract_z
Au1 0.0000 0.0000 0.0000
I1 0.2500 0.2500 0.1451
```

Principal peaks in the range 2θ from 10° to 90°, low angle first:
12.35°, I 100, hkl 0 0 2
23.14°, I 55, hkl 1 0 2
27.71°, I 19, hkl 1 1 0
28.41°, I 86, hkl 1 1 1
33.56°, I 57, hkl 1 1 3
37.62°, I 34, hkl 0 0 6
41.62°, I 42, hkl 2 0 2
42.21°, I 30, hkl 1 1 5
47.31°, I 56, hkl 2 0 4
70.53°, I 18, hkl 2 2 6

Simulated XRD peak list
Compound: Cs6Au2S
Radiation: λ = 1.5418 Å (Cu Kα)
Structure: a PBE-relaxed structure
Lines closer than 0.1° are merged.

Crystal structure
```
data_Cs6Au2S
_cell_length_a 9.0043
_cell_length_b 8.7806
_cell_length_c 17.5864
_cell_angle_alpha 90.00
_cell_angle_beta 120.61
_cell_angle_gamma 90.00
_space_group_name_H-M_alt 'P 1 21/c 1'
_space_group_IT_number 14
loop_
_space_group_symop_operation_xyz
'x,y,z'
'-x,-y,-z'
'-x,y+1/2,-z+1/2'
'x,-y+1/2,z+1/2'
loop_
_atom_site_label
_atom_site_fract_x
_atom_site_fract_y
_atom_site_fract_z
Cs1 0.9998 0.2208 0.1574
Cs2 0.3109 0.7290 0.6537
Cs3 0.3173 0.2073 0.0014
Au1 0.3184 0.0031 0.8170
S1 0.0000 0.0000 0.0000
```

Principal peaks in the range 2θ from 10° to 90°, low angle first:
11.66°, I 57, hkl 0 1 1
14.09°, I 38, hkl 1 1 -1
18.35°, I 24, hkl 1 1 1
20.28°, I 25, hkl 0 1 3
22.19°, I 53, hkl 2 1 -2
22.60°, I 100, hkl 1 1 -4
28.41°, I 57, hkl 2 2 -2
28.72°, I 76, hkl 1 2 2
34.73°, I 26, hkl 3 0 0
34.83°, I 26, hkl 3 0 -6

Simulated XRD peak list
Compound: LaMg5Cd6
Radiation: λ = 1.5418 Å (Cu Kα)
Structure: a PBE-relaxed structure
Lines closer than 0.1° are merged.

Crystal structure
```
data_LaMg5Cd6
_cell_length_a 4.7246
_cell_length_b 8.2727
_cell_length_c 7.5680
_cell_angle_alpha 90.00
_cell_angle_beta 107.99
_cell_angle_gamma 90.00
_space_group_name_H-M_alt 'P 1 2/m 1'
_space_group_IT_number 10
loop_
_space_group_symop_operation_xyz
'x,y,z'
'-x,-y,-z'
'-x,y,-z'
'x,-y,z'
loop_
_atom_site_label
_atom_site_fract_x
_atom_site_fract_y
_atom_site_fract_z
La1 0.0000 0.0000 0.0000
Mg1 0.0000 0.5000 0.0000
Mg2 0.3249 0.0000 0.6506
Mg3 0.3303 0.5000 0.6621
Cd1 0.1702 0.2629 0.3404
Cd2 0.5000 0.2751 0.0000
```

Principal peaks in the range 2θ from 10° to 90°, low angle first:
21.48°, I 15, hkl 0 2 0
26.47°, I 20, hkl 1 0 1
34.35°, I 100, hkl 1 2 1
37.48°, I 20, hkl 0 0 3
38.10°, I 20, hkl 2 0 -1
43.77°, I 11, hkl 0 4 0
58.96°, I 9, hkl 0 4 3
59.39°, I 11, hkl 2 4 -1
65.56°, I 7, hkl 1 2 4
74.34°, I 7, hkl 1 6 1

Simulated XRD peak list
Compound: Pm4Y4Er3
Radiation: λ = 1.5418 Å (Cu Kα)
Structure: a PBE-relaxed structure
Lines closer than 0.1° are merged.

Crystal structure
```
data_Pm4Y4Er3
_cell_length_a 3.5387
_cell_length_b 5.6347
_cell_length_c 18.2238
_cell_angle_alpha 98.88
_cell_angle_beta 95.56
_cell_angle_gamma 90.00
_space_group_name_H-M_alt 'P -1'
_space_group_IT_number 2
loop_
_space_group_symop_operation_xyz
'x,y,z'
'-x,-y,-z'
loop_
_atom_site_label
_atom_site_fract_x
_atom_site_fract_y
_atom_site_fract_z
Pm1 0.0457 0.0468 0.0917
Pm2 0.1792 0.6799 0.3592
Y1 0.0900 0.5913 0.1809
Y2 0.2329 0.2328 0.4655
Er1 0.3636 0.8629 0.7265
Er2 0.5000 0.5000 0.0000
```

Principal peaks in the range 2θ from 10° to 90°, low angle first:
30.71°, I 27, hkl 1 0 -4
31.48°, I 59, hkl 1 -1 2
31.74°, I 100, hkl 0 2 -1
44.77°, I 19, hkl -1 2 3
56.40°, I 12, hkl 1 -3 3
56.54°, I 19, hkl 0 3 4
56.83°, I 12, hkl 1 -2 8
61.92°, I 29, hkl 2 2 -2
66.31°, I 11, hkl 0 4 -2
80.11°, I 14, hkl 2 3 3

What is the formula in the eighth record? Pm4Y4Er3